In5Hg5Pb: simulated powder X-ray diffraction pattern (Cu Kα), based on a DFT-relaxed cell (GGA-PBE, Alexandria).

Most intense lines, 10 to 90 degrees two-theta, low angle first:
| Position (°2θ) | I (rel.) |
| --- | --- |
| 32.37 | 100 |
| 32.79 | 49 |
| 33.95 | 43 |
| 34.51 | 43 |
| 36.38 | 37 |
| 43.09 | 22 |
| 49.59 | 15 |
| 52.40 | 13 |
| 55.60 | 10 |
| 56.84 | 11 |

```
In5Hg5Pb
1.0
5.9259 0.0000 0.0000
0.8864 6.1980 0.0000
1.7155 1.0065 8.0874
In Hg Pb
5 5 1
Direct
0.0000 0.0000 0.0000
0.0788 0.8438 0.6173
0.4498 0.0806 0.2019
0.5408 0.9467 0.8145
0.7053 0.5650 0.1047
0.1643 0.6404 0.2791
0.3587 0.2855 0.5410
0.6254 0.7234 0.4770
0.8264 0.3764 0.7368
0.9031 0.1959 0.3513
0.2719 0.4715 0.9105
```


In6Hg3Pb2: simulated powder X-ray diffraction pattern (Cu Kα), based on a DFT-relaxed cell (GGA-PBE, Alexandria).

Most intense lines, 10 to 90 degrees two-theta, low angle first:
| Position (°2θ) | I (rel.) |
| --- | --- |
| 31.68 | 100 |
| 34.37 | 20 |
| 37.55 | 60 |
| 52.33 | 25 |
| 55.95 | 13 |
| 62.47 | 14 |
| 64.11 | 23 |
| 66.18 | 15 |
| 85.80 | 12 |
| 89.13 | 11 |

```
In6Hg3Pb2
1.0
1.7484 1.0094 28.7052
-1.7484 1.0094 28.7052
0.0000 -2.0189 28.7052
In Hg Pb
6 3 2
Direct
0.0862 0.0862 0.0862
0.1819 0.1819 0.1819
0.3619 0.3619 0.3619
0.6381 0.6381 0.6381
0.8181 0.8181 0.8181
0.9138 0.9138 0.9138
0.0000 0.0000 0.0000
0.2763 0.2763 0.2763
0.7237 0.7237 0.7237
0.4524 0.4524 0.4524
0.5476 0.5476 0.5476
```


In8Hg6Pb: simulated powder X-ray diffraction pattern (Cu Kα), based on a DFT-relaxed cell (GGA-PBE, Alexandria).

Most intense lines, 10 to 90 degrees two-theta, low angle first:
| Position (°2θ) | I (rel.) |
| --- | --- |
| 21.11 | 16 |
| 24.64 | 42 |
| 33.16 | 100 |
| 37.00 | 81 |
| 44.15 | 21 |
| 50.52 | 29 |
| 56.63 | 17 |
| 64.25 | 26 |
| 66.68 | 13 |
| 81.53 | 11 |

```
In8Hg6Pb
1.0
4.2081 2.4296 7.0484
-4.2081 2.4296 7.0484
0.0000 -4.8591 7.0484
In Hg Pb
8 6 1
Direct
0.0701 0.3747 0.7039
0.1621 0.1621 0.1621
0.2961 0.9299 0.6253
0.3747 0.7039 0.0701
0.6253 0.2961 0.9299
0.7039 0.0701 0.3747
0.8379 0.8379 0.8379
0.9299 0.6253 0.2961
0.0771 0.7775 0.4413
0.2225 0.5587 0.9229
0.4413 0.0771 0.7775
0.5587 0.9229 0.2225
0.7775 0.4413 0.0771
0.9229 0.2225 0.5587
0.5000 0.5000 0.5000
```


In8HgPb6: simulated powder X-ray diffraction pattern (Cu Kα), based on a DFT-relaxed cell (GGA-PBE, Alexandria).

Most intense lines, 10 to 90 degrees two-theta, low angle first:
| Position (°2θ) | I (rel.) |
| --- | --- |
| 13.62 | 13 |
| 27.43 | 19 |
| 31.98 | 100 |
| 32.61 | 17 |
| 34.16 | 31 |
| 35.83 | 51 |
| 46.58 | 11 |
| 54.40 | 22 |
| 62.00 | 17 |
| 64.52 | 13 |

```
In8HgPb6
1.0
4.4623 2.5763 6.5023
-4.4623 2.5763 6.5023
0.0000 -5.1526 6.5023
In Hg Pb
8 1 6
Direct
0.0736 0.0736 0.0736
0.1595 0.5786 0.2681
0.2681 0.1595 0.5786
0.4214 0.7319 0.8405
0.5786 0.2681 0.1595
0.7319 0.8405 0.4214
0.8405 0.4214 0.7319
0.9264 0.9264 0.9264
0.5000 0.5000 0.5000
0.0666 0.7609 0.5910
0.2391 0.4090 0.9334
0.4090 0.9334 0.2391
0.5910 0.0666 0.7609
0.7609 0.5910 0.0666
0.9334 0.2391 0.4090
```